# 1
Diffraction record for MgInCoO4. The X-ray powder pattern is simulated, not measured: it uses a PBE+U-relaxed structure and Cu Ka.
Intensities are scaled so that the largest is 100.

Atomic structure:
a b c (Å): 6.0401 6.0401 8.4134
angles (deg): 90.00 90.00 90.00
Space group P4_122 (No. 91)
Inequivalent atoms, fractional coordinates:
Mg: 0.2476 0.2476 0.3750 [4 per cell]
In: 0.2304 0.5000 0.7500 [4 per cell]
Co: 0.0000 0.2321 0.0000 [4 per cell]
O: 0.0064 0.2238 0.7707 [8 per cell]
O: 0.2272 0.4666 0.0077 [8 per cell]

The 6 most intense peaks (5° ≤ 2θ ≤ 70°), in order of rising 2θ:
h k l  Position (°2θ)  I (rel.)
1 0 1  18.1  100.0
2 1 1  34.9  72.5
1 0 3  35.3  36.8
2 0 2  36.6  38.0
2 2 0  42.3  40.1
2 2 4  61.9  34.7

# 2
Diffraction record for MgInCoO4. The X-ray powder pattern is simulated, not measured: it uses a PBE+U-relaxed structure and Cu Ka.
Intensities are scaled so that the largest is 100.

Atomic structure:
a b c (Å): 6.0862 6.0862 8.5350
angles (deg): 90.00 90.00 90.00
Space group P4_122 (No. 91)
Inequivalent atoms, fractional coordinates:
Mg: 0.0000 0.2399 0.0000 [4 per cell]
In: 0.2404 0.5000 0.7500 [4 per cell]
Co: 0.2417 0.2417 0.3750 [4 per cell]
O: 0.9996 0.2409 0.2421 [8 per cell]
O: 0.2398 0.4878 0.0051 [8 per cell]

The 6 most intense peaks (5° ≤ 2θ ≤ 70°), in order of rising 2θ:
h k l  Position (°2θ)  I (rel.)
1 1 1  23.1  45.6
1 1 2  29.5  22.8
2 1 1  34.6  100.0
1 0 3  34.8  50.5
3 2 1  55.5  25.5
2 2 4  61.2  44.9